No. 1
Starting from a GGA-PBE-relaxed structure, the PXRD pattern of Pm6DyIn2 was calculated for Cu Kα X-rays.

Top 10 peaks for 10° ≤ 2θ ≤ 80°, sorted by position:
hkl 1 1 -3, 31.28 deg, d 2.860, I = 100; hkl 4 0 -3, 35.71 deg, d 2.514, I = 18; hkl 2 0 3, 36.02 deg, d 2.493, I = 17; hkl 0 2 0, 37.08 deg, d 2.425, I = 16; hkl 4 2 -3, 52.43 deg, d 1.745, I = 12; hkl 2 2 3, 52.66 deg, d 1.738, I = 11; hkl 5 1 -6, 61.40 deg, d 1.510, I = 14; hkl 1 1 6, 61.82 deg, d 1.501, I = 13; hkl 1 3 -3, 63.24 deg, d 1.470, I = 13; hkl 2 2 -6, 65.25 deg, d 1.430, I = 12

Structural model:
a b c (Å): 11.217 4.849 10.633
angles (deg): 90.00 108.90 90.00
Space group C2/m (No. 12)
Unique sites:
Pm (0.008, 0.000, 0.176) x4
Pm (0.170, 0.500, 0.391) x4
Pm (0.172, 0.500, 0.054) x4
Dy (0.000, 0.000, 0.500) x2
In (0.160, 0.500, 0.715) x4


No. 2
Starting from a GGA-PBE-relaxed structure, the PXRD pattern of Tl2SnPbO4 was calculated for Cu Kα X-rays.

Top 10 peaks for 10° ≤ 2θ ≤ 80°, sorted by position:
hkl 1 -1 0, 28.13 deg, d 3.173, I = 100; hkl 1 0 -1, 28.40 deg, d 3.143, I = 47; hkl 1 1 2, 28.74 deg, d 3.106, I = 43; hkl 1 2 1, 29.00 deg, d 3.079, I = 92; hkl 2 0 2, 40.48 deg, d 2.228, I = 18; hkl 0 2 2, 40.79 deg, d 2.212, I = 19; hkl 2 2 0, 41.25 deg, d 2.188, I = 19; hkl -2 1 1, 50.06 deg, d 1.822, I = 19; hkl 0 3 1, 50.30 deg, d 1.814, I = 30; hkl 2 -2 0, 58.15 deg, d 1.586, I = 13

Structural model:
a b c (Å): 6.159 6.167 6.217
angles (deg): 61.61 61.06 62.02
Space group P1 (No. 1)
Unique sites:
Tl (0.000, 0.000, 0.000) x1
Tl (0.272, 0.257, 0.208) x1
Sn (0.766, 0.733, 0.783) x1
Pb (0.544, 0.485, 0.506) x1
O (0.127, 0.600, 0.796) x1
O (0.571, 0.493, 0.080) x1
O (0.635, 0.074, 0.838) x1
O (0.749, 0.765, 0.458) x1